Li5Dy4Au6: simulated XRD peak list (Cu Kα), based on a structure optimized by DFT (GGA-PBE).
Lines closer than 0.1° are merged.

Principal peaks in the range 10° ≤ 2θ ≤ 90°, sorted by position:
2theta, I (rel.)
12.1, 36
25.7, 32
25.8, 35
28.8, 32
30.8, 30
33.1, 52
35.5, 100
44.1, 27
44.3, 42
50.6, 27

Crystal structure
Cell: 10.892 10.892 14.636 Å, 90.00 90.00 158.34°
Sites, in units of the cell vectors:
1 Li 0.049 0.951 0.500
2 Li 0.152 0.848 0.816
3 Li 0.176 0.824 0.098
4 Li 0.188 0.812 0.446
5 Li 0.323 0.677 0.459
6 Li 0.677 0.323 0.959
7 Li 0.812 0.188 0.946
8 Li 0.824 0.176 0.598
9 Li 0.848 0.152 0.316
10 Li 0.951 0.049 0.000
11 Dy 0.323 0.677 0.773
12 Dy 0.357 0.643 0.127
13 Dy 0.458 0.542 0.612
14 Dy 0.478 0.522 0.345
15 Dy 0.522 0.478 0.845
16 Dy 0.542 0.458 0.112
17 Dy 0.643 0.357 0.627
18 Dy 0.677 0.323 0.273
19 Au 0.052 0.948 0.694
20 Au 0.078 0.922 0.258
21 Au 0.081 0.919 0.970
22 Au 0.244 0.756 0.609
23 Au 0.273 0.727 0.290
24 Au 0.397 0.603 0.936
25 Au 0.603 0.397 0.436
26 Au 0.727 0.273 0.790
27 Au 0.756 0.244 0.109
28 Au 0.919 0.081 0.470
29 Au 0.922 0.078 0.758
30 Au 0.948 0.052 0.194